No. 1
Diffraction record for HoH3. The powder diffraction line list is calculated, not measured: it uses a structure optimized by DFT (GGA-PBE) and a wavelength of 1.5418 Å.

Main lines, by angle (2θ from 15° to 90°):
(hkl), d (Å), intensity
0 0 2, 3.273, 33
1 1 0, 3.139, 22
1 1 1, 2.831, 100
3 0 0, 1.812, 19
1 1 3, 1.792, 28
3 0 2, 1.586, 24

Structure:
abc: 6.2783 6.2783 6.5467
angles: 90.00 90.00 120.00
Positions (direct):
Ho  0.0000  0.3367  0.2500
Ho  0.0000  0.6633  0.7500
Ho  0.3367  0.0000  0.2500
Ho  0.3367  0.3367  0.7500
Ho  0.6633  0.0000  0.7500
Ho  0.6633  0.6633  0.2500
H  0.0000  0.0000  0.2500
H  0.0000  0.0000  0.7500
H  0.0280  0.3491  0.9078
H  0.0280  0.6789  0.4078
H  0.3211  0.3491  0.4078
H  0.3211  0.9720  0.9078
H  0.3333  0.6667  0.1811
H  0.3333  0.6667  0.6811
H  0.3491  0.0280  0.5922
H  0.3491  0.3211  0.0922
H  0.6509  0.6789  0.9078
H  0.6509  0.9720  0.4078
H  0.6667  0.3333  0.3189
H  0.6667  0.3333  0.8189
H  0.6789  0.0280  0.0922
H  0.6789  0.6509  0.5922
H  0.9720  0.3211  0.5922
H  0.9720  0.6509  0.0922


No. 2
Diffraction record for HoH2. The powder diffraction line list is calculated, not measured: it uses a structure optimized by DFT (GGA-PBE) and a wavelength of 1.5418 Å.

Main lines, by angle (2θ from 15° to 90°):
(hkl), d (Å), intensity
1 1 1, 2.980, 100
2 0 0, 2.581, 49
2 2 0, 1.825, 38
3 1 1, 1.556, 44
3 3 1, 1.184, 18
4 2 0, 1.154, 17

Structure:
abc: 5.1611 5.1611 5.1611
angles: 90.00 90.00 90.00
Positions (direct):
Ho  0.0000  0.0000  0.0000
Ho  0.0000  0.5000  0.5000
Ho  0.5000  0.0000  0.5000
Ho  0.5000  0.5000  0.0000
H  0.2500  0.2500  0.2500
H  0.2500  0.2500  0.7500
H  0.2500  0.7500  0.2500
H  0.2500  0.7500  0.7500
H  0.7500  0.2500  0.2500
H  0.7500  0.2500  0.7500
H  0.7500  0.7500  0.2500
H  0.7500  0.7500  0.7500